[1]
This entry pairs a crystal structure of Zn3S2O9 with its theoretical PXRD pattern. Radiation: Cu Kα, 1.54184 Å. Structure: a PBE-relaxed structure.
Lines closer than 0.1° are merged.

Structural model:
```
data_Zn3S2O9
_cell_length_a 7.540
_cell_length_b 6.720
_cell_length_c 8.035
_cell_angle_alpha 90.00
_cell_angle_beta 117.52
_cell_angle_gamma 90.00
_space_group_name_H-M_alt 'P 1 21/m 1'
_space_group_IT_number 11
loop_
_space_group_symop_operation_xyz
'x,y,z'
'-x,-y,-z'
'-x,y+1/2,-z'
'x,-y+1/2,z'
loop_
_atom_site_label
_atom_site_fract_x
_atom_site_fract_y
_atom_site_fract_z
_atom_site_occupancy
Zn1 0.000 0.000 0.000 1
Zn2 0.167 0.250 0.774 1
Zn3 0.377 0.250 0.256 1
S1 0.152 0.750 0.700 1
S2 0.443 0.750 0.286 1
O1 0.026 0.750 0.496 1
O2 0.109 0.570 0.786 1
O3 0.131 0.250 0.007 1
O4 0.311 0.571 0.241 1
O5 0.364 0.750 0.744 1
O6 0.405 0.250 0.514 1
O7 0.452 0.250 0.831 1
```

Largest 10 diffraction maxima, most intense first, 15° ≤ 2θ ≤ 90°:
35.8 deg, intensity 1000, hkl 2 2 -1
29.8 deg, intensity 999, hkl 1 2 0
23.6 deg, intensity 911, hkl 2 0 -1
36.8 deg, intensity 816, hkl 0 2 2
26.5 deg, intensity 795, hkl 0 2 0
34.5 deg, intensity 784, hkl 2 0 1
25.0 deg, intensity 777, hkl 0 0 2
34.8 deg, intensity 764, hkl 2 0 -3
22.0 deg, intensity 541, hkl 1 0 1
18.7 deg, intensity 507, hkl 1 1 0

[2]
This entry pairs a crystal structure of Na2Nb3O6 with its theoretical PXRD pattern. Radiation: Cu Kα, 1.54184 Å. Structure: a PBE-relaxed structure.
Lines closer than 0.1° are merged.

Structural model:
```
data_Na2Nb3O6
_cell_length_a 5.1687
_cell_length_b 5.1687
_cell_length_c 23.6691
_cell_angle_alpha 90.00
_cell_angle_beta 90.00
_cell_angle_gamma 120.00
_space_group_name_H-M_alt 'P -3 1 c'
_space_group_IT_number 163
_space_group_name_Hall '-P 3 2c'
loop_
_atom_site_label
_atom_site_fract_x
_atom_site_fract_y
_atom_site_fract_z
_atom_site_occupancy
Na1 0.0000 0.0000 0.2500 1
Na2 0.3333 0.6667 0.0001 1
Na3 0.3333 0.6667 0.2500 1
Nb1 0.0045 0.3333 0.6250 1
O1 0.0015 0.3385 0.4282 1
O2 0.0051 0.3349 0.3217 1
```

Largest 10 diffraction maxima, most intense first, 15° ≤ 2θ ≤ 90°:
41.8 deg, intensity 1000, hkl 1 1 6
38.0 deg, intensity 682, hkl 1 1 4
52.4 deg, intensity 656, hkl 1 1 10
35.6 deg, intensity 644, hkl 1 1 2
62.2 deg, intensity 316, hkl 3 0 0
30.2 deg, intensity 315, hkl 0 0 8
64.4 deg, intensity 223, hkl 3 0 4
34.7 deg, intensity 221, hkl 1 1 0
66.0 deg, intensity 194, hkl 1 1 14
70.7 deg, intensity 176, hkl 3 0 8